Record 1
# Li2Se
Computed PXRD pattern, Cu Kα. Input: a cell relaxed with PBE.
Kinematic intensities with the Lorentz-polarization factor, no thermal factor.

Cell and atoms:
```
data_Li2Se
_chemical_formula_sum 'Li8 Se4'
_symmetry_space_group_name_H-M 'F m -3 m'
_symmetry_Int_Tables_number 225
_symmetry_space_group_name_Hall '-F 4 2 3'
_cell_length_a 6.020
_cell_length_b 6.020
_cell_length_c 6.020
_cell_angle_alpha 90.00
_cell_angle_beta 90.00
_cell_angle_gamma 90.00
loop_
_atom_site_label
_atom_site_type_symbol
_atom_site_fract_x
_atom_site_fract_y
_atom_site_fract_z
Li1 Li 0.250 0.250 0.250
Se1 Se 0.000 0.000 0.000
```

Peak list (10 most intense, 2θ from 10° to 90°, in order of falling intensity)
25.63°, intensity 100, hkl 1 1 1; 42.47°, intensity 48, hkl 2 2 0; 50.27°, intensity 46, hkl 3 1 1; 29.68°, intensity 39, hkl 2 0 0; 67.87°, intensity 18, hkl 3 3 1; 77.72°, intensity 16, hkl 4 2 2; 83.43°, intensity 14, hkl 5 1 1; 69.88°, intensity 13, hkl 4 2 0; 52.67°, intensity 10, hkl 2 2 2; 61.63°, intensity 8, hkl 4 0 0

***

Record 2
# SiO2
Computed PXRD pattern, Cu Kα. Input: a cell relaxed with PBE.
Kinematic intensities with the Lorentz-polarization factor, no thermal factor.

Cell and atoms:
```
data_SiO2
_chemical_formula_sum 'Si24 O48'
_symmetry_space_group_name_H-M 'I 21 21 21'
_symmetry_Int_Tables_number 24
_cell_length_a 8.221
_cell_length_b 9.255
_cell_length_c 17.406
_cell_angle_alpha 90.00
_cell_angle_beta 90.00
_cell_angle_gamma 90.00
loop_
_symmetry_equiv_pos_as_xyz
'x,y,z'
'-x,-y+1/2,z'
'x,-y,-z+1/2'
'-x,y+1/2,-z+1/2'
'x+1/2,y+1/2,z+1/2'
'-x+1/2,-y,z+1/2'
'x+1/2,-y+1/2,-z'
'-x+1/2,y,-z'
loop_
_atom_site_label
_atom_site_type_symbol
_atom_site_fract_x
_atom_site_fract_y
_atom_site_fract_z
Si1 Si 0.063 0.088 0.472
Si2 Si 0.064 0.413 0.170
Si3 Si 0.135 0.370 0.931
O1 O 0.000 0.250 0.184
O2 O 0.000 0.250 0.453
O3 O 0.000 0.250 0.908
O4 O 0.047 0.482 0.540
O5 O 0.050 0.010 0.106
O6 O 0.051 0.500 0.250
O7 O 0.246 0.409 0.857
O8 O 0.250 0.094 0.500
O9 O 0.250 0.304 0.000
```

Peak list (12 most intense, 2θ from 10° to 90°, in order of falling intensity)
10.16°, intensity 100, hkl 0 0 2; 11.91°, intensity 63, hkl 1 0 1; 22.63°, intensity 61, hkl 1 2 1; 25.07°, intensity 46, hkl 1 1 4; 28.30°, intensity 32, hkl 2 1 3; 18.04°, intensity 30, hkl 0 1 3; 10.83°, intensity 24, hkl 0 1 1; 14.41°, intensity 20, hkl 1 1 0; 21.62°, intensity 19, hkl 2 0 0; 32.88°, intensity 13, hkl 0 3 3; 19.18°, intensity 13, hkl 0 2 0; 35.14°, intensity 10, hkl 2 1 5